For FeSnP2O, a GGA+U-relaxed structure gives the simulated powder X-ray diffraction pattern in this record (Cu Kα (λ = 1.5418 Å)).
Peak positions follow from Bragg's law for the DFT cell and can differ from measured ones.

Structural model:
```
data_FeSnP2O
_space_group_name_H-M_alt 'P 1'
_space_group_IT_number 1
_cell_length_a 5.181
_cell_length_b 5.181
_cell_length_c 3.877
_cell_angle_alpha 90.00
_cell_angle_beta 90.00
_cell_angle_gamma 90.00
loop_
_space_group_symop_operation_xyz
'x,y,z'
loop_
_atom_site_label
_atom_site_fract_x
_atom_site_fract_y
_atom_site_fract_z
_atom_site_occupancy
Fe1 0.000 0.000 0.000 1
Sn1 0.500 0.500 0.500 1
P1 0.000 0.500 0.500 1
P2 0.500 0.000 0.500 1
O1 0.500 0.500 0.000 1
```

Main lines, sorted by position (10 to 80 degrees two-theta):
- 17.12°, I 40, hkl 1 0 0
- 24.30°, I 51, hkl 1 1 0
- 28.76°, I 100, hkl 1 0 1
- 34.63°, I 77, hkl 2 0 0
- 45.61°, I 58, hkl 2 1 1
- 59.57°, I 30, hkl 2 0 2